Computed powder XRD pattern
Compound: Na2LiCd9
Radiation: a wavelength of 1.5418 Å
Structure: the GGA-PBE geometry in Alexandria

Principal peaks in the range 5 to 70 degrees two-theta, by angle:
- 11.55 deg, I 41, (0 0 1)
- 12.39 deg, I 38, (0 1 0)
- 18.82 deg, I 34, (1 0 -1)
- 18.95 deg, I 31, (1 -1 0)
- 23.22 deg, I 44, (0 0 2)
- 32.55 deg, I 34, (1 1 1)
- 34.43 deg, I 78, (0 1 -3)
- 35.12 deg, I 100, (0 0 3)
- 36.30 deg, I 62, (1 2 -2)
- 36.75 deg, I 42, (1 2 0)
- 37.18 deg, I 68, (1 -3 1)
- 41.61 deg, I 40, (2 -1 1)

Cell and atoms:
```
Na2LiCd9
1.0
5.122 0.000 0.000
-2.240 7.348 0.000
-2.309 -1.832 7.663
Na Li Cd
2 1 9
direct
0.171 0.307 0.071
0.829 0.693 0.929
0.500 0.500 0.500
0.083 0.000 0.330
0.113 0.437 0.707
0.323 0.800 0.638
0.457 0.761 0.266
0.500 0.000 0.000
0.543 0.239 0.734
0.677 0.200 0.362
0.887 0.563 0.293
0.917 0.000 0.670
```